No. 1
Diffraction record for Ce3Co5Ge6. The powder XRD pattern is calculated, not measured: it uses a cell relaxed with PBE and Cu Kα, 1.54184 Å.
Kinematic intensities with the Lorentz-polarization factor, no thermal factor.

Atomic structure:
Cell: 4.071 13.389 8.524 Å, 90.00 90.00 90.00°
Positions (direct):
Ce1 0.250 0.038 0.219
Ce2 0.250 0.462 0.219
Ce3 0.250 0.750 0.268
Ce4 0.750 0.250 0.732
Ce5 0.750 0.538 0.781
Ce6 0.750 0.962 0.781
Co1 0.250 0.092 0.610
Co2 0.250 0.408 0.610
Co3 0.250 0.655 0.973
Co4 0.250 0.750 0.701
Co5 0.250 0.845 0.973
Co6 0.750 0.155 0.027
Co7 0.750 0.250 0.299
Co8 0.750 0.345 0.027
Co9 0.750 0.592 0.390
Co10 0.750 0.908 0.390
Ge1 0.250 0.105 0.887
Ge2 0.250 0.250 0.112
Ge3 0.250 0.250 0.459
Ge4 0.250 0.395 0.887
Ge5 0.250 0.590 0.535
Ge6 0.250 0.910 0.535
Ge7 0.750 0.090 0.465
Ge8 0.750 0.410 0.465
Ge9 0.750 0.605 0.113
Ge10 0.750 0.750 0.541
Ge11 0.750 0.750 0.888
Ge12 0.750 0.895 0.113

Peak list (10 most intense, 10° ≤ 2θ ≤ 90°, in order of rising 2θ)
| two_theta | I_rel |
| --- | --- |
| 29.7 | 29 |
| 34.1 | 43 |
| 36.3 | 77 |
| 36.6 | 100 |
| 37.5 | 36 |
| 38.6 | 50 |
| 41.0 | 24 |
| 44.5 | 65 |
| 48.7 | 38 |
| 57.4 | 28 |

No. 2
Diffraction record for Ce3Co2Ge6. The powder XRD pattern is calculated, not measured: it uses a cell relaxed with PBE and Cu Kα, 1.54184 Å.
Kinematic intensities with the Lorentz-polarization factor, no thermal factor.

Atomic structure:
Cell: 13.894 13.894 13.894 Å, 163.22 163.22 23.82°
Positions (direct):
Ce1 0.000 0.000 0.000
Ce2 0.171 0.171 0.000
Ce3 0.829 0.829 0.000
Co1 0.361 0.361 0.000
Co2 0.639 0.639 0.000
Ge1 0.084 0.584 0.500
Ge2 0.277 0.277 0.000
Ge3 0.416 0.916 0.500
Ge4 0.584 0.084 0.500
Ge5 0.723 0.723 0.000
Ge6 0.916 0.416 0.500

Peak list (10 most intense, 10° ≤ 2θ ≤ 90°, in order of rising 2θ)
| two_theta | I_rel |
| --- | --- |
| 22.2 | 18 |
| 27.4 | 23 |
| 31.2 | 22 |
| 31.9 | 44 |
| 37.1 | 100 |
| 42.8 | 44 |
| 44.7 | 51 |
| 63.6 | 27 |
| 65.1 | 16 |
| 77.3 | 22 |